No. 1
For V2CdF11, a cell relaxed with GGA+U gives the simulated X-ray powder pattern in this record (Cu Kα (weighted mean of Kα1 and Kα2)).
No peak broadening, texture or thermal motion is included.

Most intense lines, 10 to 80 degrees two-theta, sorted by position:
- 2θ = 14.08°, I 33
- 2θ = 22.20°, I 100
- 2θ = 23.22°, I 43
- 2θ = 25.48°, I 20
- 2θ = 27.26°, I 44
- 2θ = 33.30°, I 19
- 2θ = 45.29°, I 29
- 2θ = 48.72°, I 20

Cell and atoms:
```
data_V2CdF11
_symmetry_space_group_name_H-M 'P 1'
_symmetry_Int_Tables_number 1
_cell_length_a 8.1889
_cell_length_b 8.1889
_cell_length_c 8.1889
_cell_angle_alpha 101.26
_cell_angle_beta 118.08
_cell_angle_gamma 109.51
loop_
_symmetry_equiv_pos_as_xyz
'x,y,z'
loop_
_atom_site_label
_atom_site_type_symbol
_atom_site_fract_x
_atom_site_fract_y
_atom_site_fract_z
_atom_site_occupancy
V1 V 0.1715 0.2500 0.4215 1
V2 V 0.5337 0.9796 0.0542 1
V3 V 0.8285 0.7500 0.5785 1
V4 V 0.9254 0.4796 0.9458 1
Cd1 Cd 0.4487 0.4487 0.0000 1
Cd2 Cd 0.4487 0.9487 0.5000 1
F1 F 0.0056 0.7039 0.5392 1
F2 F 0.0056 0.9664 0.8017 1
F3 F 0.1431 0.4633 0.9310 1
F4 F 0.1431 0.7121 0.1798 1
F5 F 0.1647 0.2039 0.1983 1
F6 F 0.1647 0.4664 0.4608 1
F7 F 0.1858 0.0260 0.4230 1
F8 F 0.1858 0.2629 0.6598 1
F9 F 0.2600 0.8350 0.9250 1
F10 F 0.4504 0.3804 0.5700 1
F11 F 0.5323 0.2121 0.0690 1
F12 F 0.5323 0.9633 0.8202 1
F13 F 0.5552 0.0255 0.3016 1
F14 F 0.5552 0.7536 0.0296 1
F15 F 0.6030 0.5260 0.3402 1
F16 F 0.6030 0.7629 0.5770 1
F17 F 0.7239 0.2536 0.6984 1
F18 F 0.7239 0.5255 0.9704 1
F19 F 0.8104 0.8804 0.4300 1
F20 F 0.8594 0.6143 0.7451 1
F21 F 0.8692 0.1143 0.2549 1
F22 F 0.9099 0.3350 0.0750 1
```

No. 2
For CdWF6, a cell relaxed with GGA+U gives the simulated X-ray powder pattern in this record (Cu Kα (weighted mean of Kα1 and Kα2)).
No peak broadening, texture or thermal motion is included.

Most intense lines, 10 to 80 degrees two-theta, sorted by position:
- 2θ = 20.76°, I 70
- 2θ = 23.34°, I 100
- 2θ = 27.70°, I 60
- 2θ = 39.46°, I 22
- 2θ = 39.64°, I 22
- 2θ = 40.93°, I 41
- 2θ = 42.47°, I 18
- 2θ = 60.31°, I 20

Cell and atoms:
```
data_CdWF6
_symmetry_space_group_name_H-M 'P 1'
_symmetry_Int_Tables_number 1
_cell_length_a 5.0891
_cell_length_b 5.0891
_cell_length_c 5.4784
_cell_angle_alpha 96.21
_cell_angle_beta 96.21
_cell_angle_gamma 114.41
loop_
_symmetry_equiv_pos_as_xyz
'x,y,z'
loop_
_atom_site_label
_atom_site_type_symbol
_atom_site_fract_x
_atom_site_fract_y
_atom_site_fract_z
_atom_site_occupancy
Cd1 Cd 0.0000 0.0000 0.0000 1
W1 W 0.5000 0.5000 0.5000 1
F1 F 0.1315 0.4311 0.2637 1
F2 F 0.2550 0.2550 0.7229 1
F3 F 0.4311 0.1315 0.2637 1
F4 F 0.5689 0.8685 0.7363 1
F5 F 0.7450 0.7450 0.2771 1
F6 F 0.8685 0.5689 0.7363 1
```

No. 3
For CdW2F11, a cell relaxed with GGA+U gives the simulated X-ray powder pattern in this record (Cu Kα (weighted mean of Kα1 and Kα2)).
No peak broadening, texture or thermal motion is included.

Most intense lines, 10 to 80 degrees two-theta, sorted by position:
- 2θ = 16.59°, I 59
- 2θ = 22.08°, I 85
- 2θ = 22.83°, I 67
- 2θ = 24.49°, I 70
- 2θ = 25.98°, I 100
- 2θ = 45.16°, I 32
- 2θ = 47.72°, I 46
- 2θ = 50.43°, I 35

Cell and atoms:
```
data_CdW2F11
_symmetry_space_group_name_H-M 'P 1'
_symmetry_Int_Tables_number 1
_cell_length_a 8.2638
_cell_length_b 8.2638
_cell_length_c 8.2638
_cell_angle_alpha 123.84
_cell_angle_beta 106.23
_cell_angle_gamma 99.42
loop_
_symmetry_equiv_pos_as_xyz
'x,y,z'
loop_
_atom_site_label
_atom_site_type_symbol
_atom_site_fract_x
_atom_site_fract_y
_atom_site_fract_z
_atom_site_occupancy
Cd1 Cd 0.2500 0.2500 0.0000 1
Cd2 Cd 0.7500 0.7500 0.0000 1
W1 W 0.1801 0.6412 0.8212 1
W2 W 0.3199 0.1412 0.4611 1
W3 W 0.6801 0.8588 0.5389 1
W4 W 0.8199 0.3588 0.1788 1
F1 F 0.0000 0.5000 0.5000 1
F2 F 0.0522 0.9584 0.2850 1
F3 F 0.0586 0.3683 0.1700 1
F4 F 0.1735 0.4584 0.9063 1
F5 F 0.1983 0.8886 0.8300 1
F6 F 0.2158 0.3684 0.5843 1
F7 F 0.2842 0.8684 0.1526 1
F8 F 0.3017 0.1317 0.6903 1
F9 F 0.3265 0.2328 0.2850 1
F10 F 0.4414 0.6114 0.3097 1
F11 F 0.4478 0.7328 0.9063 1
F12 F 0.5000 0.0000 0.5000 1
F13 F 0.5522 0.2672 0.0937 1
F14 F 0.5586 0.3886 0.6903 1
F15 F 0.6735 0.7672 0.7150 1
F16 F 0.6983 0.8683 0.3097 1
F17 F 0.7158 0.1316 0.8474 1
F18 F 0.7842 0.6316 0.4157 1
F19 F 0.8017 0.1114 0.1700 1
F20 F 0.8265 0.5416 0.0937 1
F21 F 0.9414 0.6317 0.8300 1
F22 F 0.9478 0.0415 0.7150 1
```